Structure and simulated powder diffraction line list of HfNb2Re3 (a DFT-relaxed cell (GGA-PBE, Alexandria); Cu Kα, 1.54184 Å).
Peak positions follow from Bragg's law for the DFT cell and can differ from measured ones.

Main lines, in order of rising 2θ (2θ from 15° to 90°):
27.55°, intensity 2; 27.67°, intensity 3; 29.19°, intensity 2; 39.48°, intensity 100; 56.88°, intensity 6; 57.15°, intensity 11; 71.48°, intensity 11; 71.66°, intensity 23; 84.91°, intensity 7; 85.13°, intensity 4

Atomic structure:
a b c (Å): 3.2236 3.2236 9.7121
angles (deg): 90.00 90.00 90.00
Atoms (fractional coordinates):
Hf  0.0000  0.0000  0.0000
Nb  0.0000  0.0000  0.3344
Nb  0.0000  0.0000  0.6656
Re  0.5000  0.5000  0.1738
Re  0.5000  0.5000  0.5000
Re  0.5000  0.5000  0.8262